(1)
Starting from DFT lattice parameters and positions (GGA-PBE), the PXRD pattern of MnTlInBr4 was computed for CuKα.
No peak broadening, texture or thermal motion is included.

Peak list (8 most intense, 2θ from 5° to 70°, in order of rising 2θ)
2θ/deg	d_spacing	intensity	index
16.95	5.230	42.5	1 1 0
23.28	3.822	47.0	0 2 0
26.43	3.372	45.7	1 2 0
27.10	3.291	41.5	1 0 2
29.28	3.051	68.7	2 1 -2
29.55	3.023	64.1	1 1 2
31.10	2.876	100.0	0 2 2
34.29	2.615	46.8	2 2 0

Atomic structure:
a = 7.553 Å, b = 7.643 Å, c = 9.170 Å
α = 90.00°, β = 108.30°, γ = 90.00°
Space group P2_1/m (No. 11)
Asymmetric unit:
Mn 0.230 0.250 0.298 (multiplicity 2)
Tl 0.220 0.750 0.552 (multiplicity 2)
In 0.254 0.750 0.064 (multiplicity 2)
Br 0.006 0.502 0.233 (multiplicity 4)
Br 0.413 0.250 0.576 (multiplicity 2)
Br 0.429 0.250 0.127 (multiplicity 2)

(2)
Starting from DFT lattice parameters and positions (GGA-PBE), the PXRD pattern of TmMnInBr6 was computed for CuKα.
No peak broadening, texture or thermal motion is included.

Peak list (8 most intense, 2θ from 5° to 70°, in order of rising 2θ)
2θ/deg	d_spacing	intensity	index
12.13	7.296	29.6	0 0 2
18.89	4.698	84.6	1 0 2
27.98	3.188	88.3	1 1 2
35.30	2.542	100.0	1 1 4
40.80	2.212	29.1	2 1 2
44.26	2.047	44.6	3 0 0
45.22	2.005	24.2	2 -1 6
57.84	1.594	19.3	4 -2 4

Atomic structure:
a = 7.0899 Å, b = 7.0899 Å, c = 14.5919 Å
α = 90.00°, β = 90.00°, γ = 120.00°
Space group P-31c (No. 163)
Asymmetric unit:
Tm 0.3333 0.6667 0.2500 (multiplicity 2)
Mn 0.3333 0.6667 0.7500 (multiplicity 2)
In 0.0000 0.0000 0.0000 (multiplicity 2)
Br 0.0077 0.3739 0.6420 (multiplicity 12)

(3)
Starting from DFT lattice parameters and positions (GGA-PBE), the PXRD pattern of In4Br5N2 was computed for CuKα.
No peak broadening, texture or thermal motion is included.

Peak list (8 most intense, 2θ from 5° to 70°, in order of rising 2θ)
2θ/deg	d_spacing	intensity	index
7.26	12.172	38.7	0 0 1
12.54	7.058	100.0	0 1 -1
17.64	5.028	23.9	0 1 2
21.49	4.134	23.7	0 2 1
29.21	3.058	22.8	1 2 0
33.39	2.684	20.8	1 -2 1
36.85	2.439	19.8	1 1 4
42.07	2.148	19.6	0 4 -1

Atomic structure:
a = 3.855 Å, b = 8.810 Å, c = 12.211 Å
α = 88.69°, β = 85.44°, γ = 83.22°
Space group P1 (No. 1)
Asymmetric unit:
In 0.000 0.000 0.000 (multiplicity 1)
In 0.127 0.931 0.611 (multiplicity 1)
In 0.324 0.348 0.243 (multiplicity 1)
In 0.733 0.575 0.366 (multiplicity 1)
Br 0.172 0.779 0.173 (multiplicity 1)
Br 0.417 0.276 0.028 (multiplicity 1)
Br 0.568 0.960 0.809 (multiplicity 1)
Br 0.608 0.092 0.487 (multiplicity 1)
Br 0.682 0.644 0.577 (multiplicity 1)
N 0.243 0.611 0.288 (multiplicity 1)
N 0.808 0.336 0.315 (multiplicity 1)

(4)
Starting from DFT lattice parameters and positions (GGA-PBE), the PXRD pattern of InBr4N2 was computed for CuKα.
No peak broadening, texture or thermal motion is included.

Peak list (8 most intense, 2θ from 5° to 70°, in order of rising 2θ)
2θ/deg	d_spacing	intensity	index
11.92	7.425	48.7	0 0 1
12.84	6.892	36.6	2 0 0
16.60	5.339	52.8	2 0 -1
27.71	3.219	23.8	1 1 1
28.48	3.134	68.4	2 0 2
32.33	2.769	100.0	3 1 -1
43.50	2.080	36.9	5 1 1
43.73	2.070	30.1	1 1 -3

Atomic structure:
a = 13.861 Å, b = 3.751 Å, c = 7.466 Å
α = 90.00°, β = 96.03°, γ = 90.00°
Space group C2/m (No. 12)
Asymmetric unit:
In 0.000 0.000 0.000 (multiplicity 2)
Br 0.105 0.500 0.849 (multiplicity 4)
Br 0.132 0.000 0.323 (multiplicity 4)
N 0.188 0.500 0.306 (multiplicity 4)

(5)
Starting from DFT lattice parameters and positions (GGA-PBE), the PXRD pattern of NaInBr4 was computed for CuKα.
No peak broadening, texture or thermal motion is included.

Peak list (8 most intense, 2θ from 5° to 70°, in order of rising 2θ)
2θ/deg	d_spacing	intensity	index
14.97	5.919	54.5	1 0 1
15.74	5.630	42.2	0 2 0
21.91	4.057	48.3	0 2 2
24.14	3.687	47.3	0 1 3
25.50	3.492	100.0	1 2 2
27.16	3.284	62.3	2 1 0
27.47	3.247	49.3	1 1 3
45.68	1.986	48.6	0 3 5

Atomic structure:
a = 6.861 Å, b = 11.261 Å, c = 11.705 Å
α = 90.00°, β = 90.00°, γ = 90.00°
Space group P2_12_12_1 (No. 19)
Asymmetric unit:
Na 0.117 0.008 0.359 (multiplicity 4)
In 0.083 0.248 0.709 (multiplicity 4)
Br 0.195 0.437 0.610 (multiplicity 4)
Br 0.212 0.253 0.294 (multiplicity 4)
Br 0.215 0.057 0.617 (multiplicity 4)
Br 0.223 0.233 0.910 (multiplicity 4)

(6)
Starting from DFT lattice parameters and positions (GGA-PBE), the PXRD pattern of Na2InBr6 was computed for CuKα.
No peak broadening, texture or thermal motion is included.

Peak list (8 most intense, 2θ from 5° to 70°, in order of rising 2θ)
2θ/deg	d_spacing	intensity	index
14.65	6.046	39.3	1 0 1
18.34	4.837	33.9	1 1 0
27.72	3.218	100.0	1 1 3
29.19	3.059	33.8	2 1 0
36.00	2.495	41.5	2 1 3
37.18	2.418	29.3	2 2 0
44.98	2.015	40.6	3 0 3
47.00	1.933	18.0	3 1 3

Atomic structure:
a = 6.840 Å, b = 6.840 Å, c = 12.934 Å
α = 90.00°, β = 90.00°, γ = 90.00°
Space group P4_2/mnm (No. 136)
Asymmetric unit:
Na 0.000 0.000 0.168 (multiplicity 4)
In 0.000 0.000 0.500 (multiplicity 2)
Br 0.191 0.191 0.348 (multiplicity 8)
Br 0.218 0.218 0.000 (multiplicity 4)

(7)
Starting from DFT lattice parameters and positions (GGA-PBE), the PXRD pattern of Na6In3Br14 was computed for CuKα.
No peak broadening, texture or thermal motion is included.

Peak list (8 most intense, 2θ from 5° to 70°, in order of rising 2θ)
2θ/deg	d_spacing	intensity	index
15.26	5.805	29.0	0 1 1
15.92	5.567	42.8	1 1 0
24.44	3.643	36.5	0 0 2
27.37	3.258	100.0	3 -1 1
34.86	2.574	23.2	3 -1 2
37.34	2.408	32.8	3 0 2
42.98	2.104	23.5	4 1 0
44.89	2.019	39.7	3 -2 3

Atomic structure:
a = 11.1348 Å, b = 11.1348 Å, c = 7.2701 Å
α = 90.00°, β = 90.00°, γ = 120.00°
Space group P3 (No. 143)
Asymmetric unit:
Na 0.1187 0.7606 0.0000 (multiplicity 3)
Na 0.4543 0.0816 0.5166 (multiplicity 3)
In 0.0000 0.0000 0.4070 (multiplicity 1)
In 0.3333 0.6667 0.4227 (multiplicity 1)
In 0.6667 0.3333 0.9467 (multiplicity 1)
Br 0.0000 0.0000 0.7543 (multiplicity 1)
Br 0.1070 0.5273 0.1926 (multiplicity 3)
Br 0.1943 0.4330 0.6296 (multiplicity 3)
Br 0.2418 0.1356 0.2613 (multiplicity 3)
Br 0.4315 0.2924 0.7661 (multiplicity 3)
Br 0.6667 0.3333 0.3362 (multiplicity 1)

(8)
Starting from DFT lattice parameters and positions (GGA-PBE), the PXRD pattern of NaIn4Br5 was computed for CuKα.
No peak broadening, texture or thermal motion is included.

Peak list (8 most intense, 2θ from 5° to 70°, in order of rising 2θ)
2θ/deg	d_spacing	intensity	index
23.49	3.787	5.6	1 2 1
27.19	3.279	100.0	0 0 2
29.21	3.058	4.6	3 0 1
34.04	2.634	4.2	3 2 1
38.84	2.319	73.2	1 3 2
48.05	1.893	24.2	4 2 2
56.09	1.640	10.9	0 0 4
63.42	1.467	29.0	1 3 4

Atomic structure:
a = 10.366 Å, b = 10.366 Å, c = 6.564 Å
α = 90.00°, β = 90.00°, γ = 90.00°
Space group I4 (No. 79)
Asymmetric unit:
Na 0.000 0.000 0.000 (multiplicity 2)
In 0.099 0.301 0.504 (multiplicity 8)
Br 0.000 0.000 0.505 (multiplicity 2)
Br 0.104 0.270 0.004 (multiplicity 8)

(9)
Starting from DFT lattice parameters and positions (GGA-PBE), the PXRD pattern of RbNaIn2Br6 was computed for CuKα.
No peak broadening, texture or thermal motion is included.

Peak list (8 most intense, 2θ from 5° to 70°, in order of rising 2θ)
2θ/deg	d_spacing	intensity	index
15.60	5.681	61.6	1 1 0
22.14	4.015	37.4	1 1 2
26.01	3.426	100.0	2 0 1
31.50	2.840	48.9	2 2 0
35.35	2.539	71.2	1 2 3
38.80	2.321	71.9	1 -2 1
47.40	1.918	21.0	4 2 3
60.97	1.520	25.0	4 1 -1

Atomic structure:
a = 8.022 Å, b = 8.025 Å, c = 8.026 Å
α = 60.18°, β = 60.16°, γ = 60.14°
Space group P1 (No. 1)
Asymmetric unit:
Rb 0.000 0.000 0.000 (multiplicity 1)
Na 0.486 0.486 0.486 (multiplicity 1)
In 0.284 0.284 0.285 (multiplicity 1)
In 0.783 0.784 0.784 (multiplicity 1)
Br 0.085 0.425 0.613 (multiplicity 1)
Br 0.190 0.936 0.505 (multiplicity 1)
Br 0.425 0.612 0.085 (multiplicity 1)
Br 0.504 0.190 0.936 (multiplicity 1)
Br 0.612 0.085 0.425 (multiplicity 1)
Br 0.935 0.505 0.191 (multiplicity 1)

(10)
Starting from DFT lattice parameters and positions (GGA-PBE), the PXRD pattern of Na2ScInBr6 was computed for CuKα.
No peak broadening, texture or thermal motion is included.

Peak list (8 most intense, 2θ from 5° to 70°, in order of rising 2θ)
2θ/deg	d_spacing	intensity	index
16.22	5.464	29.1	0 1 2
22.16	4.012	11.8	1 0 4
27.24	3.273	100.0	1 1 3
27.96	3.191	12.7	0 2 1
35.66	2.518	48.4	2 -1 6
40.95	2.204	15.7	3 -1 4
41.95	2.154	32.6	3 0 0
46.78	1.942	20.1	1 1 9

Atomic structure:
a = 7.4608 Å, b = 7.4608 Å, c = 20.4720 Å
α = 90.00°, β = 90.00°, γ = 120.00°
Space group R3 (No. 146, hexagonal axes)
Asymmetric unit:
Na 0.0000 0.0000 0.0000 (multiplicity 3)
Na 0.0000 0.0000 0.4829 (multiplicity 3)
Sc 0.0000 0.0000 0.6757 (multiplicity 3)
In 0.0000 0.0000 0.1922 (multiplicity 3)
Br 0.0061 0.3032 0.7464 (multiplicity 9)
Br 0.0273 0.7304 0.5938 (multiplicity 9)

(11)
Starting from DFT lattice parameters and positions (GGA-PBE), the PXRD pattern of NaUInBr6 was computed for CuKα.
No peak broadening, texture or thermal motion is included.

Peak list (8 most intense, 2θ from 5° to 70°, in order of rising 2θ)
2θ/deg	d_spacing	intensity	index
14.97	5.918	85.5	1 0 1
18.53	4.787	81.1	1 0 2
26.85	3.321	95.8	1 1 2
34.86	2.573	100.0	1 1 4
38.70	2.326	30.0	2 1 2
41.55	2.173	52.6	3 0 0
45.49	1.994	24.6	2 -1 6
55.33	1.660	23.6	4 -2 4

Atomic structure:
a = 7.5290 Å, b = 7.5290 Å, c = 14.1039 Å
α = 90.00°, β = 90.00°, γ = 120.00°
Space group P-31c (No. 163)
Asymmetric unit:
Na 0.3333 0.6667 0.2500 (multiplicity 2)
U 0.3333 0.6667 0.7500 (multiplicity 2)
In 0.0000 0.0000 0.0000 (multiplicity 2)
Br 0.0226 0.3735 0.6347 (multiplicity 12)

(12)
Starting from DFT lattice parameters and positions (GGA-PBE), the PXRD pattern of NbInSe2Br was computed for CuKα.
No peak broadening, texture or thermal motion is included.

Peak list (8 most intense, 2θ from 5° to 70°, in order of rising 2θ)
2θ/deg	d_spacing	intensity	index
24.09	3.695	42.7	1 0 1
29.89	2.989	100.0	1 1 1
33.32	2.689	55.9	0 0 2
35.31	2.542	95.3	2 0 0
49.33	1.847	72.0	2 0 2
50.79	1.798	33.0	2 2 0
60.06	1.540	26.4	3 1 1
62.11	1.494	35.5	2 2 2

Atomic structure:
a = 5.084 Å, b = 5.084 Å, c = 5.379 Å
α = 90.00°, β = 90.00°, γ = 90.00°
Space group P4/mmm (No. 123)
Asymmetric unit:
Nb 0.000 0.000 0.000 (multiplicity 1)
In 0.500 0.500 0.500 (multiplicity 1)
Se 0.000 0.500 0.000 (multiplicity 2)
Br 0.000 0.000 0.500 (multiplicity 1)

(13)
Starting from DFT lattice parameters and positions (GGA-PBE), the PXRD pattern of InNiBr4 was computed for CuKα.
No peak broadening, texture or thermal motion is included.

Peak list (8 most intense, 2θ from 5° to 70°, in order of rising 2θ)
2θ/deg	d_spacing	intensity	index
27.80	3.209	29.3	2 2 0
32.73	2.736	100.0	3 1 1
34.23	2.620	37.3	2 2 2
49.18	1.853	11.7	4 2 2
52.39	1.747	33.9	5 1 1
57.44	1.604	28.5	4 4 0
67.70	1.384	11.5	5 3 3
68.59	1.368	14.2	6 2 2

Atomic structure:
a = 9.075 Å, b = 9.075 Å, c = 9.075 Å
α = 90.00°, β = 90.00°, γ = 90.00°
Space group F-43m (No. 216)
Asymmetric unit:
In 0.000 0.000 0.000 (multiplicity 4)
Ni 0.250 0.250 0.750 (multiplicity 4)
Br 0.124 0.124 0.376 (multiplicity 16)